Entry 1:
CePmVN4: computed powder diffractogram (Cu Kα X-rays), based on the PBE geometry in Alexandria.

Structural model:
```
CePmVN4
1.0
2.6903 -6.2695 0.0000
2.6903 6.2695 0.0000
0.0000 0.0000 5.3792
Ce Pm V N
2 2 2 8
Cartesian
2.6903 4.9484 4.0344 Ce
2.6903 -4.9484 1.3448 Ce
2.6903 1.3862 4.0344 Pm
2.6903 -1.3862 1.3448 Pm
2.6903 2.8817 1.3448 V
2.6903 -2.8817 4.0344 V
1.3451 3.1348 0.0000 N
1.3451 3.1348 2.6896 N
2.6903 5.4437 1.3448 N
2.6903 1.0562 1.3448 N
1.3451 -3.1348 0.0000 N
1.3451 -3.1348 2.6896 N
2.6903 -1.0562 4.0344 N
2.6903 -5.4437 4.0344 N
```

The 10 most intense peaks (2θ = 10–80°), by angle:
d = 3.640 Å, 2θ 24.45, rel. 34
d = 3.135 Å, 2θ 28.47, rel. 17
d = 2.813 Å, 2θ 31.81, rel. 100
d = 2.690 Å, 2θ 33.31, rel. 66
d = 2.092 Å, 2θ 43.25, rel. 18
d = 2.041 Å, 2θ 44.38, rel. 33
d = 1.902 Å, 2θ 47.82, rel. 31
d = 1.621 Å, 2θ 56.81, rel. 16
d = 1.576 Å, 2θ 58.58, rel. 36
d = 1.407 Å, 2θ 66.44, rel. 14

---

Entry 2:
CePm2VN4: computed powder diffractogram (Cu Kα X-rays), based on the PBE geometry in Alexandria.

Structural model:
```
CePm2VN4
1.0
1.7194 -5.9256 0.0000
1.7194 5.9256 0.0000
0.0000 0.0000 12.1549
Ce Pm V N
2 4 2 8
Cartesian
1.7194 4.8969 9.1162 Ce
1.7194 -4.8969 3.0387 Ce
1.7194 1.5535 6.5982 Pm
1.7194 1.5535 11.6341 Pm
1.7194 -1.5535 0.5208 Pm
1.7194 -1.5535 5.5567 Pm
1.7194 3.8460 3.0387 V
1.7194 -3.8460 9.1162 V
0.0000 0.0000 0.0000 N
0.0000 0.0000 6.0774 N
1.7194 2.7278 1.6266 N
1.7194 2.7278 4.4508 N
1.7194 0.9033 9.1162 N
1.7194 -0.9033 3.0387 N
1.7194 -2.7278 7.7040 N
1.7194 -2.7278 10.5283 N
```

The 10 most intense peaks (2θ = 10–80°), by angle:
d = 3.345 Å, 2θ 26.65, rel. 68
d = 3.039 Å, 2θ 29.39, rel. 38
d = 2.963 Å, 2θ 30.16, rel. 40
d = 2.902 Å, 2θ 30.81, rel. 100
d = 2.537 Å, 2θ 35.39, rel. 44
d = 2.386 Å, 2θ 37.70, rel. 57
d = 1.958 Å, 2θ 46.38, rel. 28
d = 1.858 Å, 2θ 49.03, rel. 19
d = 1.774 Å, 2θ 51.51, rel. 38
d = 1.758 Å, 2θ 52.01, rel. 23